Entry 1:
Diffraction record for YTm2Mg3Pt3. The powder diffractogram is calculated, not measured: it uses a crystal structure in OQMD, relaxed with GGA-PBE and λ = 1.5418 Å (Cu Kα).

Structure:
a = 4.0595 Å, b = 12.6991 Å, c = 7.2850 Å
α = 90.00°, β = 90.00°, γ = 90.00°
Space group Amm2 (No. 38)
Symmetry-distinct sites (fractional):
Y1 0.0000 0.0000 0.0000 x2
Tm1 0.0000 0.2040 0.6151 x4
Mg1 0.5000 0.0000 0.6582 x2
Mg2 0.5000 0.1230 0.2876 x4
Pt1 0.0000 0.0000 0.4152 x2
Pt2 0.5000 0.1697 0.9096 x4

The 10 most intense peaks (10 to 90 degrees two-theta), in order of falling intensity:
2θ = 36.02°, I = 100, (1 2 2); 2θ = 32.99°, I = 91, (1 0 2); 2θ = 24.32°, I = 60, (0 3 1); 2θ = 26.08°, I = 50, (1 1 1); 2θ = 43.87°, I = 44, (1 5 1); 2θ = 42.94°, I = 41, (0 3 3); 2θ = 35.91°, I = 38, (1 4 0); 2θ = 44.64°, I = 33, (2 0 0); 2θ = 68.54°, I = 27, (1 8 2); 2θ = 63.67°, I = 26, (2 3 3)

Entry 2:
Diffraction record for Mg2Zr2Pt3. The powder diffractogram is calculated, not measured: it uses a crystal structure in OQMD, relaxed with GGA-PBE and λ = 1.5418 Å (Cu Kα).

Structure:
a = 4.5498 Å, b = 4.5498 Å, c = 22.1683 Å
α = 90.00°, β = 90.00°, γ = 120.00°
Space group R3m (No. 160, hexagonal axes)
Symmetry-distinct sites (fractional):
Mg1 0.0000 0.0000 0.0000 x3
Mg2 0.0000 0.0000 0.4943 x3
Zr1 0.0000 0.0000 0.2432 x3
Zr2 0.0000 0.0000 0.7495 x3
Pt1 0.0000 0.0000 0.3706 x3
Pt2 0.0000 0.0000 0.6223 x3
Pt3 0.0000 0.0000 0.8719 x3

The 10 most intense peaks (10 to 90 degrees two-theta), in order of falling intensity:
2θ = 39.62°, I = 100, (1 1 0); 2θ = 39.77°, I = 98, (0 1 8); 2θ = 27.78°, I = 43, (1 0 4); 2θ = 71.98°, I = 34, (1 2 8); 2θ = 57.39°, I = 34, (2 0 8); 2θ = 23.97°, I = 31, (0 1 2); 2θ = 11.98°, I = 31, (0 0 3); 2θ = 22.92°, I = 22, (1 0 1); 2θ = 71.88°, I = 17, (3 0 0); 2θ = 72.29°, I = 16, (1 0 16)

Entry 3:
Diffraction record for MgZrPt6. The powder diffractogram is calculated, not measured: it uses a crystal structure in OQMD, relaxed with GGA-PBE and λ = 1.5418 Å (Cu Kα).

Structure:
a = 5.1402 Å, b = 5.1442 Å, c = 5.1540 Å
α = 84.91°, β = 85.30°, γ = 85.25°
Space group P-1 (No. 2)
Symmetry-distinct sites (fractional):
Mg1 0.0000 0.0000 0.0000 x1
Zr1 0.5000 0.5000 0.5000 x1
Pt1 0.0375 0.5126 0.2456 x2
Pt2 0.2454 0.0383 0.5162 x2
Pt3 0.4851 0.7545 0.9599 x2

The 10 most intense peaks (10 to 90 degrees two-theta), in order of falling intensity:
2θ = 40.65°, I = 100, (1 -2 0); 2θ = 38.16°, I = 88, (2 1 0); 2θ = 40.73°, I = 51, (0 1 -2); 2θ = 44.02°, I = 46, (2 -1 1); 2θ = 38.03°, I = 43, (0 2 1); 2θ = 35.11°, I = 36, (2 0 0); 2θ = 23.61°, I = 28, (0 1 1); 2θ = 43.80°, I = 24, (-1 1 2); 2θ = 40.28°, I = 24, (1 2 1); 2θ = 63.27°, I = 18, (3 2 0)

Entry 4:
Diffraction record for MgZrPt. The powder diffractogram is calculated, not measured: it uses a crystal structure in OQMD, relaxed with GGA-PBE and λ = 1.5418 Å (Cu Kα).

Structure:
a = 5.5215 Å, b = 9.1100 Å, c = 9.4053 Å
α = 90.00°, β = 90.00°, γ = 90.00°
Space group Fmmm (No. 69)
Symmetry-distinct sites (fractional):
Mg1 0.0000 0.1649 0.0000 x8
Zr1 0.0000 0.0000 0.3389 x8
Pt1 0.2500 0.2500 0.2500 x8

The 10 most intense peaks (10 to 90 degrees two-theta), in order of falling intensity:
2θ = 18.87°, I = 100, (0 0 2); 2θ = 42.86°, I = 70, (2 2 2); 2θ = 38.12°, I = 60, (2 2 0); 2θ = 43.30°, I = 39, (0 2 4); 2θ = 27.26°, I = 37, (0 2 2); 2θ = 44.18°, I = 32, (0 4 2); 2θ = 39.57°, I = 27, (0 4 0); 2θ = 37.79°, I = 26, (2 0 2); 2θ = 19.49°, I = 26, (0 2 0); 2θ = 34.33°, I = 24, (1 1 3)

Entry 5:
Diffraction record for Mg4Re3. The powder diffractogram is calculated, not measured: it uses a crystal structure in OQMD, relaxed with GGA-PBE and λ = 1.5418 Å (Cu Kα).

Structure:
a = 8.3629 Å, b = 13.1134 Å, c = 4.4287 Å
α = 90.00°, β = 90.00°, γ = 90.00°
Space group Cmcm (No. 63)
Symmetry-distinct sites (fractional):
Mg1 0.0000 0.1195 0.2500 x4
Mg2 0.0000 0.3228 0.2500 x4
Mg3 0.2219 0.0719 0.7500 x8
Re1 0.0000 0.4434 0.7500 x4
Re2 0.1931 0.2872 0.7500 x8

The 10 most intense peaks (10 to 90 degrees two-theta), in order of falling intensity:
2θ = 12.55°, I = 100, (1 1 0); 2θ = 40.46°, I = 80, (2 4 1); 2θ = 25.26°, I = 69, (2 2 0); 2θ = 24.25°, I = 41, (0 2 1); 2θ = 43.60°, I = 38, (3 3 1); 2θ = 40.75°, I = 36, (0 0 2); 2θ = 13.50°, I = 36, (0 2 0); 2θ = 38.78°, I = 35, (3 1 1); 2θ = 23.72°, I = 31, (1 1 1); 2θ = 46.33°, I = 26, (0 6 1)

Entry 6:
Diffraction record for Mg2ScZn. The powder diffractogram is calculated, not measured: it uses a crystal structure in OQMD, relaxed with GGA-PBE and λ = 1.5418 Å (Cu Kα).

Structure:
a = 4.7979 Å, b = 10.0788 Å, c = 6.7465 Å
α = 90.00°, β = 90.00°, γ = 90.00°
Space group Ama2 (No. 40)
Symmetry-distinct sites (fractional):
Mg1 0.2500 0.1027 0.0000 x4
Mg2 0.2500 0.3439 0.2616 x4
Sc1 0.2500 0.3744 0.7913 x4
Zn1 0.2500 0.1227 0.5417 x4

The 10 most intense peaks (10 to 90 degrees two-theta), in order of falling intensity:
2θ = 37.15°, I = 100, (1 2 2); 2θ = 35.63°, I = 26, (0 4 0); 2θ = 37.49°, I = 26, (2 0 0); 2θ = 15.81°, I = 21, (0 1 1); 2θ = 52.68°, I = 16, (2 4 0); 2θ = 67.42°, I = 16, (3 2 2); 2θ = 24.42°, I = 14, (1 1 1); 2θ = 65.00°, I = 13, (1 6 2); 2θ = 35.22°, I = 8, (1 3 1); 2θ = 79.14°, I = 8, (2 4 4)

Entry 7:
Diffraction record for Mg3Sc2Zn3. The powder diffractogram is calculated, not measured: it uses a crystal structure in OQMD, relaxed with GGA-PBE and λ = 1.5418 Å (Cu Kα).

Structure:
a = 5.9214 Å, b = 4.7059 Å, c = 6.0386 Å
α = 90.00°, β = 115.46°, γ = 90.00°
Space group Pm (No. 6)
Symmetry-distinct sites (fractional):
Mg1 0.0000 0.0000 0.0000 x1
Mg2 0.1935 0.5000 0.3059 x1
Mg3 0.4925 0.0000 0.0076 x1
Sc1 0.6667 0.5000 0.7860 x1
Sc2 0.9953 0.0000 0.5091 x1
Zn1 0.1725 0.5000 0.8105 x1
Zn2 0.4941 0.0000 0.4932 x1
Zn3 0.6889 0.5000 0.3061 x1

The 10 most intense peaks (10 to 90 degrees two-theta), in order of falling intensity:
2θ = 38.19°, I = 100, (0 2 0); 2θ = 38.74°, I = 58, (2 1 0); 2θ = 40.51°, I = 28, (2 1 -2); 2θ = 35.51°, I = 25, (2 0 -2); 2θ = 53.18°, I = 14, (2 2 -2); 2θ = 25.87°, I = 10, (1 1 -1); 2θ = 69.09°, I = 10, (0 3 2); 2θ = 71.41°, I = 10, (2 2 2); 2θ = 57.76°, I = 10, (2 0 2); 2θ = 69.48°, I = 9, (2 3 0)

Entry 8:
Diffraction record for Mg3Sc2Zn3. The powder diffractogram is calculated, not measured: it uses a crystal structure in OQMD, relaxed with GGA-PBE and λ = 1.5418 Å (Cu Kα).

Structure:
a = 6.1741 Å, b = 6.1741 Å, c = 4.6576 Å
α = 90.00°, β = 90.00°, γ = 120.00°
Space group P-6m2 (No. 187)
Symmetry-distinct sites (fractional):
Mg1 0.0121 0.5061 0.0000 x3
Sc1 0.0000 0.0000 0.0000 x1
Sc2 0.6667 0.3333 0.5000 x1
Zn1 0.1657 0.3315 0.5000 x3

The 10 most intense peaks (10 to 90 degrees two-theta), in order of falling intensity:
2θ = 38.84°, I = 100, (2 0 1); 2θ = 33.52°, I = 34, (2 0 0); 2θ = 38.66°, I = 22, (0 0 2); 2θ = 52.08°, I = 18, (2 0 2); 2θ = 73.63°, I = 17, (2 2 2); 2θ = 19.05°, I = 17, (0 0 1); 2θ = 59.93°, I = 16, (2 2 0); 2θ = 70.09°, I = 16, (2 0 3); 2θ = 73.74°, I = 13, (4 0 1); 2θ = 16.58°, I = 7, (1 0 0)

Entry 9:
Diffraction record for Mg3Zr3Sc2. The powder diffractogram is calculated, not measured: it uses a crystal structure in OQMD, relaxed with GGA-PBE and λ = 1.5418 Å (Cu Kα).

Structure:
a = 5.0438 Å, b = 6.2935 Å, c = 11.4885 Å
α = 90.00°, β = 90.00°, γ = 90.00°
Space group Amm2 (No. 38)
Symmetry-distinct sites (fractional):
Mg1 0.0000 0.0000 0.0000 x2
Mg2 0.5000 0.2444 0.4098 x4
Zr1 0.0000 0.2395 0.7442 x4
Zr2 0.5000 0.0000 0.6681 x2
Sc1 0.0000 0.0000 0.5007 x2
Sc2 0.5000 0.0000 0.1677 x2

The 10 most intense peaks (10 to 90 degrees two-theta), in order of falling intensity:
2θ = 37.14°, I = 100, (1 2 2); 2θ = 35.98°, I = 51, (1 0 4); 2θ = 15.43°, I = 51, (0 0 2); 2θ = 35.60°, I = 37, (2 0 0); 2θ = 32.44°, I = 24, (0 2 2); 2θ = 68.35°, I = 20, (2 2 6); 2θ = 64.95°, I = 19, (3 2 2); 2θ = 56.24°, I = 18, (0 2 6); 2θ = 33.57°, I = 18, (1 2 0); 2θ = 31.14°, I = 16, (0 0 4)

Entry 10:
Diffraction record for Sr2MgTcSe6. The powder diffractogram is calculated, not measured: it uses a crystal structure in OQMD, relaxed with GGA-PBE and λ = 1.5418 Å (Cu Kα).

Structure:
a = 6.6415 Å, b = 6.6415 Å, c = 11.3956 Å
α = 90.00°, β = 90.00°, γ = 90.00°
Space group I4/m (No. 87)
Symmetry-distinct sites (fractional):
Sr1 0.0000 0.5000 0.2500 x4
Mg1 0.0000 0.0000 0.0000 x2
Tc1 0.0000 0.0000 0.5000 x2
Se1 0.0000 0.0000 0.2652 x4
Se2 0.1384 0.6489 0.5000 x8

The 10 most intense peaks (10 to 90 degrees two-theta), in order of falling intensity:
2θ = 31.14°, I = 100, (2 1 1); 2θ = 31.40°, I = 70, (0 0 4); 2θ = 26.85°, I = 54, (2 0 0); 2θ = 46.06°, I = 34, (3 1 2); 2θ = 38.47°, I = 32, (2 1 3); 2θ = 38.33°, I = 31, (2 2 0); 2θ = 41.78°, I = 30, (2 0 4); 2θ = 50.36°, I = 27, (2 2 4); 2θ = 15.44°, I = 26, (1 0 1); 2θ = 71.67°, I = 26, (2 4 4)

Entry 11:
Diffraction record for TmMgSe2. The powder diffractogram is calculated, not measured: it uses a crystal structure in OQMD, relaxed with GGA-PBE and λ = 1.5418 Å (Cu Kα).

Structure:
a = 4.2850 Å, b = 4.2850 Å, c = 7.3922 Å
α = 90.00°, β = 90.00°, γ = 120.00°
Space group P3m1 (No. 156)
Symmetry-distinct sites (fractional):
Tm1 0.0000 0.0000 0.0000 x1
Mg1 0.3333 0.6667 0.4696 x1
Se1 0.0000 0.0000 0.3752 x1
Se2 0.3333 0.6667 0.8244 x1

The 10 most intense peaks (10 to 90 degrees two-theta), in order of falling intensity:
2θ = 24.00°, I = 100, (1 0 0); 2θ = 26.88°, I = 56, (1 0 1); 2θ = 44.12°, I = 55, (0 1 3); 2θ = 34.24°, I = 51, (1 0 2); 2θ = 42.18°, I = 46, (1 1 0); 2θ = 11.97°, I = 38, (0 0 1); 2θ = 49.13°, I = 32, (2 0 0); 2θ = 78.45°, I = 22, (1 2 3); 2θ = 62.68°, I = 19, (2 0 3); 2θ = 55.41°, I = 13, (0 2 2)

Entry 12:
Diffraction record for Mg2Zn2SiSn. The powder diffractogram is calculated, not measured: it uses a crystal structure in OQMD, relaxed with GGA-PBE and λ = 1.5418 Å (Cu Kα).

Structure:
a = 10.7664 Å, b = 4.4262 Å, c = 10.7800 Å
α = 90.00°, β = 109.42°, γ = 90.00°
Space group Pm (No. 6)
Symmetry-distinct sites (fractional):
Mg1 0.0000 0.0000 0.0000 x1
Mg2 0.1093 0.5000 0.3601 x1
Mg3 0.2382 0.0000 0.7318 x1
Mg4 0.3855 0.5000 0.1238 x1
Mg5 0.5124 0.0000 0.5145 x1
Mg6 0.6279 0.5000 0.8784 x1
Mg7 0.7428 0.0000 0.2502 x1
Mg8 0.8706 0.5000 0.6414 x1
Zn1 0.1052 0.5000 0.6042 x1
Zn2 0.2672 0.0000 0.9942 x1
Zn3 0.3749 0.5000 0.3780 x1
Zn4 0.5091 0.0000 0.7673 x1
Zn5 0.6314 0.5000 0.1206 x1
Zn6 0.7675 0.0000 0.5151 x1
Zn7 0.8714 0.5000 0.8875 x1
Zn8 0.9827 0.0000 0.2434 x1
Si1 0.5090 0.0000 0.0048 x1
Si2 0.7540 0.0000 0.7590 x1
Si3 0.8703 0.5000 0.1246 x1
Si4 0.9959 0.0000 0.4917 x1
Sn1 0.1272 0.5000 0.8721 x1
Sn2 0.2483 0.0000 0.2474 x1
Sn3 0.3747 0.5000 0.6302 x1
Sn4 0.6310 0.5000 0.3814 x1

The 10 most intense peaks (10 to 90 degrees two-theta), in order of falling intensity:
2θ = 40.97°, I = 100, (4 1 0); 2θ = 24.71°, I = 75, (1 0 -3); 2θ = 48.49°, I = 30, (3 1 -5); 2θ = 40.77°, I = 27, (0 2 0); 2θ = 24.81°, I = 25, (3 0 -1); 2θ = 41.06°, I = 25, (4 0 -4); 2θ = 74.73°, I = 18, (8 1 -4); 2θ = 74.35°, I = 17, (4 3 0); 2θ = 59.25°, I = 17, (4 2 -4); 2θ = 48.31°, I = 17, (3 2 -1)

Entry 13:
Diffraction record for SmMg12. The powder diffractogram is calculated, not measured: it uses a crystal structure in OQMD, relaxed with GGA-PBE and λ = 1.5418 Å (Cu Kα).

Structure:
a = 10.2617 Å, b = 10.2617 Å, c = 5.9082 Å
α = 90.00°, β = 90.00°, γ = 90.00°
Space group I4/mmm (No. 139)
Symmetry-distinct sites (fractional):
Sm1 0.0000 0.0000 0.0000 x2
Mg1 0.0000 0.2118 0.5000 x8
Mg2 0.0000 0.3514 0.0000 x8
Mg3 0.2500 0.2500 0.2500 x8

The 10 most intense peaks (10 to 90 degrees two-theta), in order of falling intensity:
2θ = 35.01°, I = 100, (4 0 0); 2θ = 24.56°, I = 41, (2 1 1); 2θ = 30.21°, I = 37, (0 0 2); 2θ = 17.31°, I = 29, (1 0 1); 2θ = 12.20°, I = 26, (1 1 0); 2θ = 62.76°, I = 19, (6 0 2); 2θ = 50.33°, I = 16, (4 4 0); 2θ = 27.49°, I = 14, (3 1 0); 2θ = 46.87°, I = 12, (4 3 1); 2θ = 56.85°, I = 12, (3 2 3)

Entry 14:
Diffraction record for Sm3Mg4. The powder diffractogram is calculated, not measured: it uses a crystal structure in OQMD, relaxed with GGA-PBE and λ = 1.5418 Å (Cu Kα).

Structure:
a = 9.2128 Å, b = 9.2128 Å, c = 5.3545 Å
α = 90.00°, β = 90.00°, γ = 120.00°
Space group P6_3/m (No. 176)
Symmetry-distinct sites (fractional):
Sm1 0.0969 0.4628 0.2500 x6
Mg1 0.0466 0.2289 0.7500 x6
Mg2 0.3333 0.6667 0.7500 x2

The 10 most intense peaks (10 to 90 degrees two-theta), in order of falling intensity:
2θ = 34.12°, I = 100, (2 1 1); 2θ = 29.62°, I = 42, (2 1 0); 2θ = 25.51°, I = 36, (1 1 1); 2θ = 19.97°, I = 31, (1 0 1); 2θ = 11.09°, I = 29, (1 0 0); 2θ = 45.29°, I = 26, (2 1 2); 2θ = 33.47°, I = 24, (0 0 2); 2θ = 52.56°, I = 21, (1 4 0); 2θ = 63.77°, I = 20, (1 4 2); 2θ = 60.25°, I = 20, (2 1 3)